No. 1
# Dy2Y3Lu2Fe2Te2
Simulated powder diffractogram, Cu Kα X-rays. Input: a PBE-relaxed structure.
Peak positions follow from Bragg's law for the DFT cell and can differ from measured ones.

Atomic structure:
abc: 9.307 9.307 9.307
angles: 155.88 65.54 120.09
Sites, in units of the cell vectors:
Dy (0.136, 0.000, 0.136)
Dy (0.864, 0.000, 0.864)
Y (0.197, 0.848, 0.349)
Y (0.499, 0.848, 0.651)
Y (0.586, 0.586, 0.000)
Lu (0.522, 0.209, 0.314)
Lu (0.895, 0.209, 0.686)
Fe (0.283, 0.520, 0.763)
Fe (0.757, 0.520, 0.237)
Te (0.249, 0.249, 0.000)
Te (0.849, 0.349, 0.500)

Top 8 peaks for 2θ = 5–70°, most intense first:
two_theta, I/Imax
33.90, 100
34.64, 93
33.65, 85
30.51, 43
24.81, 40
46.71, 34
58.79, 34
34.38, 29



No. 2
# Dy4Mg3Fe2
Simulated powder diffractogram, Cu Kα X-rays. Input: a PBE-relaxed structure.
Peak positions follow from Bragg's law for the DFT cell and can differ from measured ones.

Atomic structure:
abc: 7.464 3.766 8.145
angles: 90.00 109.96 90.00
Sites, in units of the cell vectors:
Dy (0.095, 0.000, 0.226)
Dy (0.392, 0.000, 0.684)
Dy (0.608, 0.000, 0.316)
Dy (0.905, 0.000, 0.774)
Mg (0.000, 0.500, 0.500)
Mg (0.291, 0.500, 0.003)
Mg (0.709, 0.500, 0.997)
Fe (0.360, 0.500, 0.400)
Fe (0.640, 0.500, 0.600)

Top 8 peaks for 2θ = 5–70°, most intense first:
two_theta, I/Imax
33.95, 100
33.38, 88
23.62, 51
24.03, 50
39.73, 50
23.24, 45
31.47, 42
13.91, 41



No. 3
# Dy2Fe17N3
Simulated powder diffractogram, Cu Kα X-rays. Input: a PBE-relaxed structure.
Peak positions follow from Bragg's law for the DFT cell and can differ from measured ones.

Atomic structure:
abc: 6.492 6.492 6.492
angles: 82.99 82.99 82.99
Sites, in units of the cell vectors:
Dy (0.158, 0.158, 0.158)
Dy (0.842, 0.842, 0.842)
Fe (0.000, 0.500, 0.500)
Fe (0.157, 0.157, 0.644)
Fe (0.157, 0.644, 0.157)
Fe (0.218, 0.500, 0.782)
Fe (0.218, 0.782, 0.500)
Fe (0.356, 0.843, 0.843)
Fe (0.405, 0.405, 0.405)
Fe (0.500, 0.000, 0.500)
Fe (0.500, 0.218, 0.782)
Fe (0.500, 0.500, 0.000)
Fe (0.500, 0.782, 0.218)
Fe (0.595, 0.595, 0.595)
Fe (0.644, 0.157, 0.157)
Fe (0.782, 0.218, 0.500)
Fe (0.782, 0.500, 0.218)
Fe (0.843, 0.356, 0.843)
Fe (0.843, 0.843, 0.356)
N (0.000, 0.000, 0.500)
N (0.000, 0.500, 0.000)
N (0.500, 0.000, 0.000)

Top 8 peaks for 2θ = 5–70°, most intense first:
two_theta, I/Imax
42.33, 100
42.01, 78
29.80, 45
36.17, 39
43.28, 36
61.87, 33
37.49, 29
61.16, 23



No. 4
# Dy2NbFeSi2
Simulated powder diffractogram, Cu Kα X-rays. Input: a PBE-relaxed structure.
Peak positions follow from Bragg's law for the DFT cell and can differ from measured ones.

Atomic structure:
abc: 3.932 3.932 7.476
angles: 90.00 90.00 90.00
Sites, in units of the cell vectors:
Dy (0.000, 0.500, 0.151)
Dy (0.500, 0.000, 0.849)
Nb (0.000, 0.000, 0.500)
Fe (0.500, 0.500, 0.500)
Si (0.000, 0.500, 0.726)
Si (0.500, 0.000, 0.274)

Top 8 peaks for 2θ = 5–70°, most intense first:
two_theta, I/Imax
33.07, 100
34.42, 96
25.60, 78
40.44, 54
46.18, 53
57.96, 40
36.04, 37
59.93, 33



No. 5
# NdDyFe2Si2
Simulated powder diffractogram, Cu Kα X-rays. Input: a PBE-relaxed structure.
Peak positions follow from Bragg's law for the DFT cell and can differ from measured ones.

Atomic structure:
abc: 4.047 4.047 6.676
angles: 90.00 90.00 90.00
Sites, in units of the cell vectors:
Nd (0.000, 0.000, 0.000)
Dy (0.500, 0.500, 0.635)
Fe (0.000, 0.500, 0.332)
Fe (0.500, 0.000, 0.332)
Si (0.000, 0.000, 0.502)
Si (0.500, 0.500, 0.159)

Top 8 peaks for 2θ = 5–70°, most intense first:
two_theta, I/Imax
25.74, 100
34.84, 68
41.57, 67
44.79, 51
34.09, 45
31.26, 36
57.96, 31
52.37, 30



No. 6
# Dy3FeNi8
Simulated powder diffractogram, Cu Kα X-rays. Input: a PBE-relaxed structure.
Peak positions follow from Bragg's law for the DFT cell and can differ from measured ones.

Atomic structure:
abc: 8.545 8.545 8.545
angles: 33.96 33.96 33.96
Sites, in units of the cell vectors:
Dy (0.000, 0.000, 0.000)
Dy (0.139, 0.139, 0.139)
Dy (0.861, 0.861, 0.861)
Fe (0.500, 0.500, 0.500)
Ni (0.082, 0.584, 0.584)
Ni (0.333, 0.333, 0.333)
Ni (0.416, 0.416, 0.918)
Ni (0.416, 0.918, 0.416)
Ni (0.584, 0.082, 0.584)
Ni (0.584, 0.584, 0.082)
Ni (0.667, 0.667, 0.667)
Ni (0.918, 0.416, 0.416)

Top 8 peaks for 2θ = 5–70°, most intense first:
two_theta, I/Imax
42.64, 100
35.99, 58
33.24, 53
41.97, 43
36.31, 42
69.27, 22
62.96, 17
46.01, 16



No. 7
# Dy2YFe3Ni6
Simulated powder diffractogram, Cu Kα X-rays. Input: a PBE-relaxed structure.
Peak positions follow from Bragg's law for the DFT cell and can differ from measured ones.

Atomic structure:
abc: 8.519 8.519 8.519
angles: 34.41 34.41 34.41
Sites, in units of the cell vectors:
Dy (0.139, 0.139, 0.139)
Dy (0.861, 0.861, 0.861)
Y (0.000, 0.000, 0.000)
Fe (0.333, 0.333, 0.333)
Fe (0.500, 0.500, 0.500)
Fe (0.667, 0.667, 0.667)
Ni (0.082, 0.583, 0.583)
Ni (0.417, 0.417, 0.918)
Ni (0.417, 0.918, 0.417)
Ni (0.583, 0.082, 0.583)
Ni (0.583, 0.583, 0.082)
Ni (0.918, 0.417, 0.417)

Top 8 peaks for 2θ = 5–70°, most intense first:
two_theta, I/Imax
42.38, 100
35.62, 55
33.21, 52
41.55, 46
36.31, 40
45.66, 28
46.50, 25
44.15, 23



No. 8
# DyFe5P3
Simulated powder diffractogram, Cu Kα X-rays. Input: a PBE-relaxed structure.
Peak positions follow from Bragg's law for the DFT cell and can differ from measured ones.

Atomic structure:
abc: 11.799 3.646 10.290
angles: 90.00 90.00 90.00
Sites, in units of the cell vectors:
Dy (0.204, 0.250, 0.081)
Dy (0.296, 0.750, 0.581)
Dy (0.704, 0.250, 0.419)
Dy (0.796, 0.750, 0.919)
Fe (0.009, 0.750, 0.095)
Fe (0.011, 0.750, 0.708)
Fe (0.067, 0.750, 0.464)
Fe (0.177, 0.250, 0.781)
Fe (0.201, 0.250, 0.376)
Fe (0.299, 0.750, 0.876)
Fe (0.323, 0.750, 0.281)
Fe (0.433, 0.250, 0.964)
Fe (0.489, 0.250, 0.208)
Fe (0.491, 0.250, 0.595)
Fe (0.509, 0.750, 0.405)
Fe (0.511, 0.750, 0.792)
Fe (0.567, 0.750, 0.036)
Fe (0.677, 0.250, 0.719)
Fe (0.701, 0.250, 0.124)
Fe (0.799, 0.750, 0.624)
Fe (0.823, 0.750, 0.219)
Fe (0.933, 0.250, 0.536)
Fe (0.989, 0.250, 0.292)
Fe (0.991, 0.250, 0.905)
P (0.103, 0.750, 0.899)
P (0.113, 0.250, 0.578)
P (0.128, 0.750, 0.266)
P (0.372, 0.250, 0.766)
P (0.387, 0.750, 0.078)
P (0.397, 0.250, 0.399)
P (0.603, 0.750, 0.601)
P (0.613, 0.250, 0.922)
P (0.628, 0.750, 0.234)
P (0.872, 0.250, 0.734)
P (0.887, 0.750, 0.422)
P (0.897, 0.250, 0.101)

Top 8 peaks for 2θ = 5–70°, most intense first:
two_theta, I/Imax
39.16, 100
39.29, 52
50.04, 32
40.31, 25
27.03, 21
53.73, 20
37.93, 18
35.72, 16



No. 9
# Rb3DyFe2
Simulated powder diffractogram, Cu Kα X-rays. Input: a PBE-relaxed structure.
Peak positions follow from Bragg's law for the DFT cell and can differ from measured ones.

Atomic structure:
abc: 5.194 5.194 8.915
angles: 90.00 90.00 90.00
Sites, in units of the cell vectors:
Rb (0.000, 0.000, 0.000)
Rb (0.000, 0.500, 0.632)
Rb (0.500, 0.000, 0.368)
Dy (0.500, 0.500, 0.000)
Fe (0.000, 0.500, 0.198)
Fe (0.500, 0.000, 0.802)

Top 8 peaks for 2θ = 5–70°, most intense first:
two_theta, I/Imax
26.24, 100
31.56, 75
34.54, 67
26.35, 62
9.92, 61
43.95, 30
57.02, 30
47.73, 27



No. 10
# Dy2Fe3Si5
Simulated powder diffractogram, Cu Kα X-rays. Input: a PBE-relaxed structure.
Peak positions follow from Bragg's law for the DFT cell and can differ from measured ones.

Atomic structure:
abc: 10.346 10.346 5.466
angles: 90.00 90.00 90.00
Sites, in units of the cell vectors:
Dy (0.069, 0.236, 0.000)
Dy (0.236, 0.931, 0.000)
Dy (0.264, 0.431, 0.500)
Dy (0.431, 0.736, 0.500)
Dy (0.569, 0.264, 0.500)
Dy (0.736, 0.569, 0.500)
Dy (0.764, 0.069, 0.000)
Dy (0.931, 0.764, 0.000)
Fe (0.000, 0.500, 0.250)
Fe (0.000, 0.500, 0.750)
Fe (0.123, 0.855, 0.500)
Fe (0.145, 0.123, 0.500)
Fe (0.355, 0.623, 0.000)
Fe (0.377, 0.355, 0.000)
Fe (0.500, 0.000, 0.250)
Fe (0.500, 0.000, 0.750)
Fe (0.623, 0.645, 0.000)
Fe (0.645, 0.377, 0.000)
Fe (0.855, 0.877, 0.500)
Fe (0.877, 0.145, 0.500)
Si (0.000, 0.000, 0.268)
Si (0.000, 0.000, 0.732)
Si (0.022, 0.320, 0.500)
Si (0.177, 0.677, 0.250)
Si (0.177, 0.677, 0.750)
Si (0.180, 0.478, 0.000)
Si (0.320, 0.978, 0.500)
Si (0.323, 0.177, 0.250)
Si (0.323, 0.177, 0.750)
Si (0.478, 0.820, 0.000)
Si (0.500, 0.500, 0.232)
Si (0.500, 0.500, 0.768)
Si (0.522, 0.180, 0.000)
Si (0.677, 0.823, 0.250)
Si (0.677, 0.823, 0.750)
Si (0.680, 0.022, 0.500)
Si (0.820, 0.522, 0.000)
Si (0.823, 0.323, 0.250)
Si (0.823, 0.323, 0.750)
Si (0.978, 0.680, 0.500)

Top 8 peaks for 2θ = 5–70°, most intense first:
two_theta, I/Imax
31.88, 100
41.23, 58
39.52, 53
35.78, 34
25.22, 33
38.25, 29
32.77, 28
54.36, 26



No. 11
# Dy2FeSi2
Simulated powder diffractogram, Cu Kα X-rays. Input: a PBE-relaxed structure.
Peak positions follow from Bragg's law for the DFT cell and can differ from measured ones.

Atomic structure:
abc: 5.644 5.644 9.964
angles: 117.29 117.29 42.91
Sites, in units of the cell vectors:
Dy (0.002, 0.002, 0.172)
Dy (0.189, 0.189, 0.608)
Dy (0.811, 0.811, 0.392)
Dy (0.998, 0.998, 0.828)
Fe (0.272, 0.272, 0.124)
Fe (0.728, 0.728, 0.876)
Si (0.344, 0.344, 0.936)
Si (0.499, 0.499, 0.373)
Si (0.501, 0.501, 0.627)
Si (0.656, 0.656, 0.064)

Top 8 peaks for 2θ = 5–70°, most intense first:
two_theta, I/Imax
34.15, 100
34.59, 98
23.65, 92
33.82, 90
35.11, 87
27.19, 69
43.86, 64
37.54, 60



No. 12
# Dy2YTm4Fe2Te2
Simulated powder diffractogram, Cu Kα X-rays. Input: a PBE-relaxed structure.
Peak positions follow from Bragg's law for the DFT cell and can differ from measured ones.

Atomic structure:
abc: 9.305 9.305 9.305
angles: 156.02 65.41 120.16
Sites, in units of the cell vectors:
Dy (0.151, 0.000, 0.151)
Dy (0.849, 0.000, 0.849)
Y (0.236, 0.736, 0.500)
Tm (0.173, 0.360, 0.813)
Tm (0.516, 0.152, 0.364)
Tm (0.547, 0.360, 0.187)
Tm (0.788, 0.152, 0.636)
Fe (0.405, 0.667, 0.738)
Fe (0.928, 0.667, 0.262)
Te (0.502, 0.502, 0.000)
Te (0.897, 0.397, 0.500)

Top 8 peaks for 2θ = 5–70°, most intense first:
two_theta, I/Imax
33.99, 100
33.67, 84
34.75, 72
30.64, 45
59.07, 34
47.01, 32
24.95, 27
34.36, 27